Computed powder X-ray diffraction pattern
Compound: MgCo5SbO8
Radiation: copper Kα
Structure: DFT lattice parameters and positions (PBE+U)
Neutral-atom scattering factors, no anomalous dispersion.

```
MgCo5SbO8
1.0
5.3827 -3.1364 0.0000
5.3827 3.1364 0.0000
-3.4956 0.0000 5.3225
Mg Co Sb O
1 5 1 8
direct
0.0000 0.0000 0.0000 Mg
0.1918 0.7095 0.4798 Co
0.2624 0.2624 0.0204 Co
0.5928 0.5928 0.0765 Co
0.6987 0.6987 0.5774 Co
0.7095 0.1918 0.4798 Co
0.2170 0.2170 0.5071 Sb
0.3946 0.9725 0.1895 O
0.4202 0.9809 0.7294 O
0.4493 0.4493 0.7019 O
0.4824 0.4824 0.2865 O
0.8996 0.8996 0.6394 O
0.9725 0.3946 0.1895 O
0.9802 0.9802 0.2889 O
0.9809 0.4202 0.7294 O
```

Largest 10 diffraction maxima, by intensity, 2θ = 10–90°:
- 33.58 deg, rel. 1000
- 33.68 deg, rel. 825
- 16.66 deg, rel. 680
- 40.39 deg, rel. 653
- 17.23 deg, rel. 373
- 33.11 deg, rel. 355
- 34.87 deg, rel. 344
- 40.08 deg, rel. 325
- 28.46 deg, rel. 286
- 57.07 deg, rel. 261